# 1
For LaPm5ErTm2, a DFT-relaxed cell (GGA-PBE, Alexandria) gives the simulated PXRD pattern in this record (a wavelength of 1.5418 Å).
Lines closer than 0.1° are merged.

Most intense lines, 2θ = 5–70°, by angle:
2θ = 27.80°, intensity 20.2; 2θ = 30.06°, intensity 42.7; 2θ = 31.45°, intensity 43.7; 2θ = 31.98°, intensity 100.0; 2θ = 42.47°, intensity 12.9; 2θ = 56.33°, intensity 20.1; 2θ = 58.95°, intensity 15.6; 2θ = 61.00°, intensity 15.4

Structural model:
Lattice parameters (Å, degrees): 10.4904 10.4904 10.6215 90.00 90.00 148.54
Atoms (fractional coordinates):
La 0.0842 0.9158 0.5000
La 0.9158 0.0842 0.0000
Pm 0.0198 0.9802 0.7890
Pm 0.1155 0.8845 0.0723
Pm 0.2030 0.7970 0.7568
Pm 0.2198 0.7802 0.3643
Pm 0.4829 0.5171 0.0714
Pm 0.5171 0.4829 0.5714
Pm 0.7802 0.2198 0.8643
Pm 0.7970 0.2030 0.2568
Pm 0.8845 0.1155 0.5723
Pm 0.9802 0.0198 0.2890
Er 0.3012 0.6988 0.0613
Er 0.6988 0.3012 0.5613
Tm 0.3851 0.6149 0.3668
Tm 0.3865 0.6135 0.7832
Tm 0.6135 0.3865 0.2832
Tm 0.6149 0.3851 0.8668

***

# 2
For Zn2Fe3Co3, a DFT-relaxed cell (GGA-PBE, Alexandria) gives the simulated PXRD pattern in this record (a wavelength of 1.5418 Å).
Lines closer than 0.1° are merged.

Most intense lines, 2θ = 5–70°, by angle:
2θ = 32.76°, intensity 1.0; 2θ = 39.76°, intensity 0.8; 2θ = 44.17°, intensity 24.5; 2θ = 44.30°, intensity 100.0; 2θ = 44.53°, intensity 25.0; 2θ = 64.37°, intensity 7.6; 2θ = 64.52°, intensity 14.4; 2θ = 69.84°, intensity 0.9

Structural model:
Lattice parameters (Å, degrees): 8.5730 8.5730 8.5730 160.56 152.54 33.87
Atoms (fractional coordinates):
Zn 0.2465 0.2465 0.0000
Zn 0.7535 0.7535 0.0000
Fe 0.0000 0.0000 0.0000
Fe 0.3793 0.8793 0.5000
Fe 0.6207 0.1207 0.5000
Co 0.1192 0.6192 0.5000
Co 0.5000 0.5000 0.0000
Co 0.8808 0.3808 0.5000

***

# 3
For Hf3Pa5, a DFT-relaxed cell (GGA-PBE, Alexandria) gives the simulated PXRD pattern in this record (a wavelength of 1.5418 Å).
Lines closer than 0.1° are merged.

Most intense lines, 2θ = 5–70°, by angle:
2θ = 31.43°, intensity 2.7; 2θ = 33.88°, intensity 100.0; 2θ = 37.90°, intensity 17.5; 2θ = 40.02°, intensity 32.6; 2θ = 56.30°, intensity 22.7; 2θ = 57.89°, intensity 11.3; 2θ = 65.90°, intensity 12.9; 2θ = 68.79°, intensity 26.7

Structural model:
Lattice parameters (Å, degrees): 3.1860 3.1860 18.9902 90.00 90.00 90.00
Atoms (fractional coordinates):
Hf 0.0000 0.0000 0.0000
Hf 0.5000 0.5000 0.1180
Hf 0.5000 0.5000 0.8820
Pa 0.0000 0.0000 0.2424
Pa 0.0000 0.0000 0.5000
Pa 0.0000 0.0000 0.7576
Pa 0.5000 0.5000 0.3707
Pa 0.5000 0.5000 0.6293

***

# 4
For KSmS2O8, a DFT-relaxed cell (GGA-PBE, Alexandria) gives the simulated PXRD pattern in this record (a wavelength of 1.5418 Å).
Lines closer than 0.1° are merged.

Most intense lines, 2θ = 5–70°, by angle:
2θ = 10.11°, intensity 100.0; 2θ = 25.80°, intensity 33.5; 2θ = 27.88°, intensity 56.8; 2θ = 28.65°, intensity 14.6; 2θ = 29.63°, intensity 43.8; 2θ = 33.56°, intensity 14.2; 2θ = 46.95°, intensity 19.0; 2θ = 50.09°, intensity 13.3

Structural model:
Lattice parameters (Å, degrees): 8.7549 7.2213 10.6903 90.00 92.34 90.00
Atoms (fractional coordinates):
K 0.0626 0.1505 0.3448
K 0.0626 0.3495 0.8448
K 0.9374 0.6505 0.1552
K 0.9374 0.8495 0.6552
Sm 0.4444 0.6684 0.6506
Sm 0.4444 0.8316 0.1506
Sm 0.5556 0.1684 0.8494
Sm 0.5556 0.3316 0.3494
S 0.2293 0.6581 0.4102
S 0.2293 0.8419 0.9102
S 0.3203 0.1663 0.6096
S 0.3203 0.3337 0.1096
S 0.6797 0.6663 0.8904
S 0.6797 0.8337 0.3904
S 0.7707 0.1581 0.0898
S 0.7707 0.3419 0.5898
O 0.1068 0.5347 0.3679
O 0.1068 0.9653 0.8679
O 0.1552 0.1444 0.6062
O 0.1552 0.3556 0.1062
O 0.2021 0.7492 0.5331
O 0.2021 0.7508 0.0331
O 0.2591 0.6969 0.8137
O 0.2591 0.8031 0.3137
O 0.3671 0.1670 0.1899
O 0.3671 0.3330 0.6899
O 0.3770 0.5527 0.4397
O 0.3770 0.9473 0.9397
O 0.3786 0.1783 0.4819
O 0.3786 0.3217 0.9819
O 0.4036 0.0097 0.6785
O 0.4036 0.4903 0.1785
O 0.5964 0.5097 0.8215
O 0.5964 0.9903 0.3215
O 0.6214 0.6783 0.0181
O 0.6214 0.8217 0.5181
O 0.6230 0.0527 0.0603
O 0.6230 0.4473 0.5603
O 0.6329 0.6670 0.3101
O 0.6329 0.8330 0.8101
O 0.7409 0.1969 0.6863
O 0.7409 0.3031 0.1863
O 0.7979 0.2492 0.9669
O 0.7979 0.2508 0.4669
O 0.8448 0.6444 0.8938
O 0.8448 0.8556 0.3938
O 0.8932 0.0347 0.1321
O 0.8932 0.4653 0.6321

***

# 5
For Ca2MnZn3Au12, a DFT-relaxed cell (GGA-PBE, Alexandria) gives the simulated PXRD pattern in this record (a wavelength of 1.5418 Å).
Lines closer than 0.1° are merged.

Most intense lines, 2θ = 5–70°, by angle:
2θ = 9.63°, intensity 18.2; 2θ = 19.52°, intensity 36.8; 2θ = 32.29°, intensity 100.0; 2θ = 35.81°, intensity 18.0; 2θ = 39.63°, intensity 65.1; 2θ = 39.92°, intensity 19.9; 2θ = 44.46°, intensity 29.5; 2θ = 52.32°, intensity 36.7

Structural model:
Lattice parameters (Å, degrees): 10.0313 10.0313 10.0313 40.81 40.81 40.81
Atoms (fractional coordinates):
Ca 0.1453 0.1453 0.1453
Ca 0.8547 0.8547 0.8547
Mn 0.5000 0.5000 0.5000
Zn 0.0000 0.5000 0.5000
Zn 0.5000 0.0000 0.5000
Zn 0.5000 0.5000 0.0000
Au 0.0882 0.0882 0.6848
Au 0.0882 0.6848 0.0882
Au 0.1145 0.6016 0.6016
Au 0.3152 0.9118 0.9118
Au 0.3984 0.3984 0.8855
Au 0.3984 0.8855 0.3984
Au 0.6016 0.1145 0.6016
Au 0.6016 0.6016 0.1145
Au 0.6848 0.0882 0.0882
Au 0.8855 0.3984 0.3984
Au 0.9118 0.3152 0.9118
Au 0.9118 0.9118 0.3152

***

# 6
For CeURu, a DFT-relaxed cell (GGA-PBE, Alexandria) gives the simulated PXRD pattern in this record (a wavelength of 1.5418 Å).
Lines closer than 0.1° are merged.

Most intense lines, 2θ = 5–70°, by angle:
2θ = 21.81°, intensity 18.5; 2θ = 36.35°, intensity 100.0; 2θ = 38.26°, intensity 86.2; 2θ = 48.53°, intensity 9.3; 2θ = 53.80°, intensity 32.8; 2θ = 64.13°, intensity 21.4; 2θ = 67.92°, intensity 33.1; 2θ = 69.16°, intensity 15.5

Structural model:
Lattice parameters (Å, degrees): 4.7054 4.7054 3.1081 90.00 90.00 120.00
Atoms (fractional coordinates):
Ce 0.0000 0.0000 0.0000
U 0.3333 0.6667 0.2997
Ru 0.6667 0.3333 0.6117

***

# 7
For NaCd6F12, a DFT-relaxed cell (GGA-PBE, Alexandria) gives the simulated PXRD pattern in this record (a wavelength of 1.5418 Å).
Lines closer than 0.1° are merged.

Most intense lines, 2θ = 5–70°, by angle:
2θ = 17.20°, intensity 20.8; 2θ = 28.08°, intensity 100.0; 2θ = 28.43°, intensity 31.9; 2θ = 32.64°, intensity 29.9; 2θ = 46.61°, intensity 36.4; 2θ = 47.06°, intensity 34.3; 2θ = 55.50°, intensity 23.8; 2θ = 55.90°, intensity 13.2

Structural model:
Lattice parameters (Å, degrees): 6.7305 6.7305 6.7305 100.00 100.00 100.00
Atoms (fractional coordinates):
Na 0.0000 0.0000 0.0000
Cd 0.1358 0.6038 0.2948
Cd 0.2948 0.1358 0.6038
Cd 0.3962 0.7052 0.8642
Cd 0.6038 0.2948 0.1358
Cd 0.7052 0.8642 0.3962
Cd 0.8642 0.3962 0.7052
F 0.0693 0.9267 0.3251
F 0.0733 0.6749 0.9307
F 0.1784 0.4320 0.5744
F 0.3251 0.0693 0.9267
F 0.4256 0.8216 0.5680
F 0.4320 0.5744 0.1784
F 0.5680 0.4256 0.8216
F 0.5744 0.1784 0.4320
F 0.6749 0.9307 0.0733
F 0.8216 0.5680 0.4256
F 0.9267 0.3251 0.0693
F 0.9307 0.0733 0.6749

***

# 8
For Ba7Ca, a DFT-relaxed cell (GGA-PBE, Alexandria) gives the simulated PXRD pattern in this record (a wavelength of 1.5418 Å).
Lines closer than 0.1° are merged.

Most intense lines, 2θ = 5–70°, by angle:
2θ = 24.66°, intensity 100.0; 2θ = 28.55°, intensity 51.8; 2θ = 40.82°, intensity 39.0; 2θ = 48.28°, intensity 47.6; 2θ = 50.57°, intensity 13.8; 2θ = 59.10°, intensity 6.5; 2θ = 65.02°, intensity 19.6; 2θ = 66.93°, intensity 18.0

Structural model:
Lattice parameters (Å, degrees): 8.8422 8.8422 8.8422 60.00 60.00 60.00
Atoms (fractional coordinates):
Ba 0.0000 0.0000 0.0000
Ba 0.0000 0.0000 0.5000
Ba 0.0000 0.5000 0.0000
Ba 0.0000 0.5000 0.5000
Ba 0.5000 0.0000 0.0000
Ba 0.5000 0.0000 0.5000
Ba 0.5000 0.5000 0.0000
Ca 0.5000 0.5000 0.5000

***

# 9
For Na5B7C3, a DFT-relaxed cell (GGA-PBE, Alexandria) gives the simulated PXRD pattern in this record (a wavelength of 1.5418 Å).
Lines closer than 0.1° are merged.

Most intense lines, 2θ = 5–70°, by angle:
2θ = 35.00°, intensity 10.7; 2θ = 36.11°, intensity 17.7; 2θ = 41.08°, intensity 51.3; 2θ = 42.05°, intensity 100.0; 2θ = 42.37°, intensity 37.7; 2θ = 56.86°, intensity 9.9; 2θ = 63.50°, intensity 17.8; 2θ = 65.65°, intensity 8.3

Structural model:
Lattice parameters (Å, degrees): 12.8966 12.8966 8.5338 90.00 90.00 167.34
Atoms (fractional coordinates):
Na 0.0000 0.0000 0.0000
Na 0.0000 0.0000 0.5000
Na 0.2003 0.7997 0.5006
Na 0.2003 0.7997 0.9994
Na 0.3995 0.6005 0.0002
Na 0.3995 0.6005 0.4998
Na 0.6005 0.3995 0.9998
Na 0.6005 0.3995 0.5002
Na 0.7997 0.2003 0.0006
Na 0.7997 0.2003 0.4994
B 0.0638 0.9362 0.7500
B 0.0693 0.9307 0.2500
B 0.1332 0.8668 0.7500
B 0.1392 0.8608 0.2500
B 0.2667 0.7333 0.7500
B 0.3270 0.6730 0.2500
B 0.4699 0.5301 0.7500
B 0.5301 0.4699 0.2500
B 0.6730 0.3270 0.7500
B 0.7333 0.2667 0.2500
B 0.8608 0.1392 0.7500
B 0.8668 0.1332 0.2500
B 0.9307 0.0693 0.7500
B 0.9362 0.0638 0.2500
C 0.2645 0.7355 0.2500
C 0.3303 0.6697 0.7500
C 0.4673 0.5327 0.2500
C 0.5327 0.4673 0.7500
C 0.6697 0.3303 0.2500
C 0.7355 0.2645 0.7500

***

# 10
For Ac2BiBr2, a DFT-relaxed cell (GGA-PBE, Alexandria) gives the simulated PXRD pattern in this record (a wavelength of 1.5418 Å).
Lines closer than 0.1° are merged.

Most intense lines, 2θ = 5–70°, by angle:
2θ = 8.02°, intensity 75.6; 2θ = 25.61°, intensity 100.0; 2θ = 30.75°, intensity 30.4; 2θ = 34.89°, intensity 30.3; 2θ = 38.12°, intensity 40.8; 2θ = 41.81°, intensity 23.5; 2θ = 46.50°, intensity 20.5; 2θ = 61.64°, intensity 18.0

Structural model:
Lattice parameters (Å, degrees): 11.3596 11.3596 11.3596 23.99 23.99 23.99
Atoms (fractional coordinates):
Ac 0.1084 0.1084 0.1084
Ac 0.8916 0.8916 0.8916
Bi 0.5000 0.5000 0.5000
Br 0.2782 0.2782 0.2782
Br 0.7218 0.7218 0.7218

***

# 11
For Pm3Sm4Tm, a DFT-relaxed cell (GGA-PBE, Alexandria) gives the simulated PXRD pattern in this record (a wavelength of 1.5418 Å).
Lines closer than 0.1° are merged.

Most intense lines, 2θ = 5–70°, by angle:
2θ = 30.27°, intensity 100.0; 2θ = 35.09°, intensity 50.7; 2θ = 50.47°, intensity 36.2; 2θ = 59.94°, intensity 28.8; 2θ = 60.07°, intensity 14.3; 2θ = 62.95°, intensity 12.4

Structural model:
Lattice parameters (Å, degrees): 10.2115 7.2425 7.2374 90.00 90.00 90.00
Atoms (fractional coordinates):
Pm 0.0000 0.0000 0.0000
Pm 0.2500 0.2519 0.2500
Pm 0.2500 0.7481 0.7500
Pm 0.5000 0.0000 0.5000
Pm 0.7500 0.2519 0.2500
Pm 0.7500 0.7481 0.7500
Sm 0.0000 0.0000 0.5000
Sm 0.0000 0.5000 0.0000
Sm 0.2500 0.2517 0.7500
Sm 0.2500 0.7483 0.2500
Sm 0.5000 0.0000 0.0000
Sm 0.5000 0.5000 0.5000
Sm 0.7500 0.2517 0.7500
Sm 0.7500 0.7483 0.2500
Tm 0.0000 0.5000 0.5000
Tm 0.5000 0.5000 0.0000

***

# 12
For PrEr3In3, a DFT-relaxed cell (GGA-PBE, Alexandria) gives the simulated PXRD pattern in this record (a wavelength of 1.5418 Å).
Lines closer than 0.1° are merged.

Most intense lines, 2θ = 5–70°, by angle:
2θ = 27.89°, intensity 6.7; 2θ = 29.01°, intensity 23.5; 2θ = 33.90°, intensity 100.0; 2θ = 34.70°, intensity 23.3; 2θ = 45.84°, intensity 13.4; 2θ = 51.42°, intensity 13.7; 2θ = 61.69°, intensity 17.5; 2θ = 63.53°, intensity 14.6

Structural model:
Lattice parameters (Å, degrees): 9.4031 9.4031 5.1697 90.00 90.00 120.00
Atoms (fractional coordinates):
Pr 0.3333 0.6667 0.2500
Pr 0.6667 0.3333 0.7500
Er 0.9997 0.2298 0.7500
Er 0.0003 0.7702 0.2500
Er 0.2300 0.0003 0.7500
Er 0.2298 0.2300 0.2500
Er 0.7700 0.9997 0.2500
Er 0.7702 0.7700 0.7500
In 0.0696 0.6188 0.7500
In 0.3812 0.4508 0.7500
In 0.4508 0.0696 0.2500
In 0.5492 0.9304 0.7500
In 0.6188 0.5492 0.2500
In 0.9304 0.3812 0.2500

***

Question: Which formula does entry 3 have?
Answer: Hf3Pa5